Theoretical X-ray powder pattern
Compound: Ca2HgPbF8
Radiation: a wavelength of 1.5418 Å
Structure: a cell relaxed with GGA-PBE
Neutral-atom scattering factors, no anomalous dispersion.

Most intense lines, 2θ from 10° to 80°, sorted by position:
15.5°, I 62, (0 1 0)
22.1°, I 31, (1 0 0)
22.3°, I 31, (0 0 2)
27.1°, I 94, (1 1 0)
27.3°, I 92, (0 1 2)
31.6°, I 28, (1 0 2)
35.4°, I 44, (1 1 2)
45.1°, I 100, (2 0 0)
45.6°, I 19, (0 0 4)
53.6°, I 29, (2 1 2)
53.9°, I 28, (1 1 4)
72.4°, I 18, (3 1 0)

Cell: 4.018 5.709 7.958 Å, 90.00 90.00 90.00°
Space group Pmmm (No. 47)
Inequivalent atoms, fractional coordinates:
Ca (0.000, 0.000, 0.244) (multiplicity 2)
Hg (0.500, 0.500, 0.000) (multiplicity 1)
Pb (0.500, 0.500, 0.500) (multiplicity 1)
F (0.000, 0.230, 0.500) (multiplicity 2)
F (0.000, 0.244, 0.000) (multiplicity 2)
F (0.500, 0.237, 0.241) (multiplicity 4)

---

Theoretical X-ray powder pattern
Compound: Rb2CaHoF6
Radiation: a wavelength of 1.5418 Å
Structure: a cell relaxed with GGA-PBE
Neutral-atom scattering factors, no anomalous dispersion.

Most intense lines, 2θ from 10° to 80°, sorted by position:
16.6°, I 15, (1 1 0)
17.0°, I 32, (0 1 1)
27.1°, I 29, (2 0 0)
27.7°, I 100, (1 2 1)
27.9°, I 25, (0 0 2)
39.3°, I 39, (2 0 2)
39.7°, I 21, (0 4 0)
48.3°, I 23, (3 2 1)
48.8°, I 11, (2 4 0)
49.2°, I 29, (0 4 2)
57.1°, I 24, (2 4 2)
64.9°, I 13, (1 6 1)

Cell: 6.575 9.077 6.392 Å, 90.00 90.00 90.00°
Space group Pmmn (No. 59, origin choice 2)
Inequivalent atoms, fractional coordinates:
Rb (0.250, 0.011, 0.222) (multiplicity 4)
Ca (0.250, 0.250, 0.732) (multiplicity 2)
Ho (0.250, 0.750, 0.739) (multiplicity 2)
F (0.006, 0.750, 0.001) (multiplicity 4)
F (0.039, 0.250, 0.440) (multiplicity 4)
F (0.250, 0.506, 0.761) (multiplicity 4)

---

Theoretical X-ray powder pattern
Compound: RbCaHoF6
Radiation: a wavelength of 1.5418 Å
Structure: a cell relaxed with GGA-PBE
Neutral-atom scattering factors, no anomalous dispersion.

Most intense lines, 2θ from 10° to 80°, sorted by position:
13.2°, I 44, (1 0 1)
15.0°, I 51, (0 0 2)
21.9°, I 19, (2 0 0)
25.1°, I 15, (1 0 3)
25.2°, I 100, (1 2 1)
26.2°, I 15, (0 2 2)
26.7°, I 50, (2 0 2)
33.2°, I 21, (1 2 3)
40.5°, I 26, (3 2 1)
43.7°, I 22, (2 2 4)
46.2°, I 21, (3 2 3)
51.8°, I 16, (2 4 2)

Cell: 8.100 8.321 11.840 Å, 90.00 90.00 90.00°
Space group Imma (No. 74)
Inequivalent atoms, fractional coordinates:
Rb (0.000, 0.250, 0.058) (multiplicity 4)
Ca (0.250, 0.250, 0.750) (multiplicity 4)
Ho (0.000, 0.000, 0.500) (multiplicity 4)
F (0.000, 0.250, 0.441) (multiplicity 4)
F (0.000, 0.250, 0.828) (multiplicity 4)
F (0.195, 0.057, 0.618) (multiplicity 16)

---

Theoretical X-ray powder pattern
Compound: CaIN2F
Radiation: a wavelength of 1.5418 Å
Structure: a cell relaxed with GGA-PBE
Neutral-atom scattering factors, no anomalous dispersion.

Most intense lines, 2θ from 10° to 80°, sorted by position:
19.5°, I 26, (0 0 1)
21.3°, I 52, (1 0 0)
29.0°, I 100, (1 0 1)
30.4°, I 52, (1 1 0)
39.5°, I 22, (0 0 2)
43.5°, I 33, (2 0 0)
45.3°, I 14, (1 0 2)
48.9°, I 11, (2 1 0)
50.6°, I 25, (1 1 2)
53.1°, I 36, (2 1 1)
60.2°, I 23, (2 0 2)
77.1°, I 11, (2 2 2)

Cell: 4.164 4.164 4.563 Å, 90.00 90.00 90.00°
Space group P4/mmm (No. 123)
Inequivalent atoms, fractional coordinates:
Ca (0.000, 0.000, 0.000) (multiplicity 1)
I (0.500, 0.500, 0.500) (multiplicity 1)
N (0.000, 0.500, 0.500) (multiplicity 2)
F (0.500, 0.500, 0.000) (multiplicity 1)